1.
Computed powder diffraction line list
Compound: Sr2Nd2CrNiO8
Radiation: copper Kα
Structure: a DFT-relaxed cell (PBE+U, Alexandria)
Neutral-atom scattering factors, no anomalous dispersion.

Most intense lines, 10 to 90 degrees two-theta, by intensity:
h k l, 2θ (°), I (rel.)
1 1 3, 31.61, 100
2 2 0, 47.26, 37
2 0 0, 32.81, 36
0 2 0, 33.05, 36
3 1 3, 57.82, 18
1 3 3, 58.13, 18
1 1 1, 24.20, 18
1 1 5, 43.05, 16
2 0 4, 43.98, 15
0 2 4, 44.17, 15
2 2 6, 66.00, 12
0 0 6, 43.28, 12

Structure:
Cell lengths 5.4592, 5.4207, 12.5438 Å; angles 90.00, 90.00, 90.00 degrees
Space group Amm2 (No. 38)
Unique sites:
Sr  0.0000  0.0000  0.0000 [2 per cell]
Sr  0.5000  0.0000  0.2083 [2 per cell]
Nd  0.0000  0.0000  0.7164 [2 per cell]
Nd  0.5000  0.0000  0.4921 [2 per cell]
Cr  0.0000  0.0000  0.3524 [2 per cell]
Ni  0.5000  0.0000  0.8550 [2 per cell]
O  0.0000  0.0000  0.1945 [2 per cell]
O  0.0000  0.0000  0.5276 [2 per cell]
O  0.2411  0.2440  0.3535 [8 per cell]
O  0.5000  0.0000  0.0193 [2 per cell]
O  0.5000  0.0000  0.6750 [2 per cell]

***

2.
Computed powder diffraction line list
Compound: NdCr2O2
Radiation: copper Kα
Structure: a DFT-relaxed cell (PBE+U, Alexandria)
Neutral-atom scattering factors, no anomalous dispersion.

Most intense lines, 10 to 90 degrees two-theta, by intensity:
h k l, 2θ (°), I (rel.)
2 2 0, 28.53, 100
4 0 0, 40.79, 44
2 1 3, 35.14, 43
2 0 2, 26.87, 37
1 0 1, 13.34, 29
2 0 6, 59.06, 26
4 2 2, 49.52, 23
2 1 5, 51.05, 14
2 1 1, 24.17, 13
3 0 5, 55.39, 12
5 2 3, 63.03, 11
4 2 6, 74.27, 10

Structure:
Cell lengths 8.8501, 8.8501, 10.0294 Å; angles 90.00, 90.00, 90.00 degrees
Space group I4_1/amd (No. 141, origin choice 2)
Unique sites:
Nd  0.0000  0.0000  0.0000 [8 per cell]
Cr  0.0000  0.0524  0.6349 [16 per cell]
O  0.0000  0.0906  0.2101 [16 per cell]

***

3.
Computed powder diffraction line list
Compound: NdCr2PO8
Radiation: copper Kα
Structure: a DFT-relaxed cell (PBE+U, Alexandria)
Neutral-atom scattering factors, no anomalous dispersion.

Most intense lines, 10 to 90 degrees two-theta, by intensity:
h k l, 2θ (°), I (rel.)
1 1 -2, 32.00, 100
2 0 0, 24.67, 100
0 2 0, 30.83, 72
1 1 2, 35.65, 65
1 1 1, 25.16, 60
2 2 -1, 40.77, 47
2 0 -1, 26.03, 44
0 0 1, 13.56, 43
3 1 1, 45.19, 37
1 1 0, 19.64, 36
3 1 0, 40.60, 29
3 1 -3, 53.97, 27

Structure:
Cell lengths 7.3303, 5.8008, 6.6337 Å; angles 90.00, 100.12, 90.00 degrees
Space group C2/m (No. 12)
Unique sites:
Nd  0.0000  0.0000  0.0000 [2 per cell]
Cr  0.0750  0.5000  0.2501 [4 per cell]
P  0.0000  0.0000  0.5000 [2 per cell]
O  0.0098  0.2111  0.6960 [8 per cell]
O  0.1699  0.5000  0.0173 [4 per cell]
O  0.2266  0.0000  0.5343 [4 per cell]